Starting from the PBE+U geometry in Alexandria, the X-ray diffraction stick pattern of La4CoO8 was computed for Cu Kα (λ = 1.5418 Å).

Structure:
```
26
Lattice="-2.6583 2.6583 12.8269 2.6583 -2.6583 12.8269 2.6583 2.6583 -12.8269" Properties=species:S:1:pos:R:3 pbc="T T T"
La 2.6583 1.3291 -4.9599
La 2.6583 1.3291 -1.5296
La 0.0000 1.3291 1.4535
La 0.0000 1.3291 4.8839
La 2.6583 1.3291 7.9430
La 2.6583 1.3291 11.3734
La 0.0000 1.3291 14.3565
La 0.0000 1.3291 17.7868
Co 2.6583 1.3291 3.2067
Co 0.0000 1.3291 9.6202
O 2.6583 -1.3291 7.2251
O 1.3639 0.0348 3.2067
O 3.9527 0.0348 3.2067
O 2.6583 -1.3291 12.0152
O 2.6583 1.3291 1.1368
O 1.3639 2.6930 -3.2067
O 1.2944 0.0348 9.6202
O 2.6583 1.3291 5.2767
O 0.0000 1.3291 7.5502
O 1.3639 2.6235 3.2067
O 1.2944 -0.0348 16.0336
O 0.0000 1.3291 11.6901
O 0.0000 3.9874 0.8117
O -1.2944 2.6235 9.6202
O 1.2944 2.6235 9.6202
O 0.0000 3.9874 5.6018
```

The 10 most intense peaks (2θ = 15–90°), sorted by position:
2θ 24.68, I 71
2θ 27.82, I 32
2θ 31.69, I 100
2θ 33.72, I 81
2θ 42.67, I 31
2θ 44.26, I 62
2θ 48.43, I 41
2θ 55.10, I 22
2θ 59.04, I 35
2θ 87.55, I 27